Entry 1:
Calculated XRD peak list of CaZnSi3O8 for λ = 1.5418 Å (Cu Kα), from a cell relaxed with GGA-PBE.
Neutral-atom scattering factors, no anomalous dispersion.

Crystal structure
```
data_CaZnSi3O8
_chemical_formula_sum 'Ca4 Zn4 Si12 O32'
_symmetry_space_group_name_H-M 'P 1'
_symmetry_Int_Tables_number 1
_symmetry_space_group_name_Hall 'P 1'
_cell_length_a 7.304
_cell_length_b 8.228
_cell_length_c 13.083
_cell_angle_alpha 84.15
_cell_angle_beta 85.87
_cell_angle_gamma 63.80
loop_
_atom_site_label
_atom_site_fract_x
_atom_site_fract_y
_atom_site_fract_z
Ca1 0.146 0.246 0.023
Ca2 0.146 0.746 0.523
Ca3 0.854 0.254 0.477
Ca4 0.854 0.754 0.977
Zn1 0.206 0.494 0.817
Zn2 0.207 0.992 0.318
Zn3 0.793 0.008 0.682
Zn4 0.794 0.506 0.183
Si1 0.249 0.004 0.669
Si2 0.251 0.501 0.169
Si3 0.308 0.808 0.887
Si4 0.310 0.306 0.388
Si5 0.370 0.334 0.609
Si6 0.370 0.832 0.109
Si7 0.630 0.168 0.891
Si8 0.630 0.666 0.391
Si9 0.690 0.694 0.612
Si10 0.692 0.192 0.113
Si11 0.749 0.499 0.831
Si12 0.751 0.996 0.331
O1 0.051 0.017 0.614
O2 0.052 0.514 0.114
O3 0.172 0.698 0.899
O4 0.174 0.195 0.400
O5 0.234 0.969 0.794
O6 0.236 0.465 0.294
O7 0.266 0.516 0.672
O8 0.267 0.013 0.172
O9 0.274 0.191 0.647
O10 0.275 0.688 0.147
O11 0.282 0.920 0.990
O12 0.284 0.419 0.490
O13 0.384 0.268 0.898
O14 0.384 0.766 0.397
O15 0.445 0.829 0.624
O16 0.447 0.325 0.125
O17 0.553 0.675 0.875
O18 0.555 0.171 0.376
O19 0.616 0.234 0.603
O20 0.616 0.732 0.102
O21 0.716 0.581 0.510
O22 0.718 0.080 0.010
O23 0.725 0.312 0.853
O24 0.726 0.809 0.353
O25 0.733 0.987 0.828
O26 0.734 0.484 0.328
O27 0.764 0.535 0.706
O28 0.766 0.031 0.206
O29 0.826 0.805 0.600
O30 0.828 0.302 0.101
O31 0.948 0.486 0.886
O32 0.949 0.983 0.386
```

Largest 10 diffraction maxima, in order of rising 2θ, 2θ from 15° to 90°:
hkl	2θ (°)	d_spacing	I (rel.)
1 2 0	21.92	4.054	44.2
0 1 3	22.98	3.871	48.3
0 1 -3	24.63	3.614	63.3
0 2 2	26.88	3.316	57.6
2 0 0	27.23	3.275	100.0
2 2 0	27.42	3.253	97.9
0 2 -2	28.79	3.100	45.1
2 2 2	29.45	3.033	44.4
1 -1 3	30.43	2.938	36.1
2 1 -3	33.25	2.695	31.9


Entry 2:
Calculated XRD peak list of NdSbPd for λ = 1.5418 Å (Cu Kα), from a cell relaxed with GGA-PBE.
Neutral-atom scattering factors, no anomalous dispersion.

Crystal structure
```
data_NdSbPd
_chemical_formula_sum 'Nd4 Sb4 Pd4'
_symmetry_space_group_name_H-M 'P 1'
_symmetry_Int_Tables_number 1
_symmetry_space_group_name_Hall 'P 1'
_cell_length_a 8.074
_cell_length_b 4.544
_cell_length_c 8.165
_cell_angle_alpha 90.00
_cell_angle_beta 90.00
_cell_angle_gamma 90.00
loop_
_atom_site_label
_atom_site_fract_x
_atom_site_fract_y
_atom_site_fract_z
Nd1 0.250 0.000 0.007
Nd2 0.250 0.500 0.491
Nd3 0.750 0.000 0.993
Nd4 0.750 0.500 0.509
Sb1 0.003 0.000 0.678
Sb2 0.497 0.000 0.678
Sb3 0.503 0.000 0.322
Sb4 0.997 0.000 0.322
Pd1 0.017 0.500 0.834
Pd2 0.483 0.500 0.834
Pd3 0.517 0.500 0.166
Pd4 0.983 0.500 0.166
```

Largest 10 diffraction maxima, in order of rising 2θ, 2θ from 15° to 90°:
hkl	2θ (°)	d_spacing	I (rel.)
2 0 2	31.16	2.871	61.1
2 1 1	31.60	2.831	100.0
0 1 3	38.56	2.335	63.4
0 2 0	39.67	2.272	30.0
4 0 0	44.89	2.019	23.8
2 2 2	51.28	1.782	29.9
4 1 3	60.64	1.527	31.3
4 2 0	61.44	1.509	15.5
2 1 5	64.93	1.436	16.5
2 3 1	66.97	1.397	11.4


Entry 3:
Calculated XRD peak list of Mg14NbCdO16 for λ = 1.5418 Å (Cu Kα), from a cell relaxed with GGA-PBE.
Neutral-atom scattering factors, no anomalous dispersion.

Crystal structure
```
data_Mg14NbCdO16
_chemical_formula_sum 'Mg14 Nb1 Cd1 O16'
_symmetry_space_group_name_H-M 'P 1'
_symmetry_Int_Tables_number 1
_symmetry_space_group_name_Hall 'P 1'
_cell_length_a 8.686
_cell_length_b 8.686
_cell_length_c 4.349
_cell_angle_alpha 90.00
_cell_angle_beta 90.00
_cell_angle_gamma 90.00
loop_
_atom_site_label
_atom_site_fract_x
_atom_site_fract_y
_atom_site_fract_z
Mg1 0.000 0.254 0.000
Mg2 0.000 0.500 0.500
Mg3 0.000 0.746 0.000
Mg4 0.244 0.500 0.000
Mg5 0.249 0.249 0.500
Mg6 0.249 0.751 0.500
Mg7 0.254 0.000 0.000
Mg8 0.500 0.000 0.500
Mg9 0.500 0.244 0.000
Mg10 0.500 0.756 0.000
Mg11 0.746 0.000 0.000
Mg12 0.751 0.249 0.500
Mg13 0.751 0.751 0.500
Mg14 0.756 0.500 0.000
Nb1 0.500 0.500 0.500
Cd1 0.000 0.000 0.500
O1 0.000 0.000 0.000
O2 0.000 0.265 0.500
O3 0.000 0.500 0.000
O4 0.000 0.735 0.500
O5 0.242 0.500 0.500
O6 0.250 0.250 0.000
O7 0.250 0.750 0.000
O8 0.265 0.000 0.500
O9 0.500 0.000 0.000
O10 0.500 0.242 0.500
O11 0.500 0.500 0.000
O12 0.500 0.758 0.500
O13 0.735 0.000 0.500
O14 0.750 0.250 0.000
O15 0.750 0.750 0.000
O16 0.758 0.500 0.500
```

Largest 10 diffraction maxima, in order of rising 2θ, 2θ from 15° to 90°:
hkl	2θ (°)	d_spacing	I (rel.)
2 0 0	20.44	4.345	24.1
1 1 1	25.09	3.549	18.5
2 2 0	29.06	3.072	20.4
3 1 0	32.60	2.747	12.0
2 2 1	35.79	2.509	28.5
3 1 1	38.77	2.322	12.7
0 0 2	41.57	2.173	100.0
4 0 2	60.24	1.536	57.9
6 2 1	72.09	1.310	14.9
4 4 2	75.85	1.254	17.7


Entry 4:
Calculated XRD peak list of Mn5FeN4 for λ = 1.5418 Å (Cu Kα), from a cell relaxed with GGA-PBE.
Neutral-atom scattering factors, no anomalous dispersion.

Crystal structure
```
data_Mn5FeN4
_chemical_formula_sum 'Mn10 Fe2 N8'
_symmetry_space_group_name_H-M 'P 1'
_symmetry_Int_Tables_number 1
_symmetry_space_group_name_Hall 'P 1'
_cell_length_a 6.083
_cell_length_b 6.629
_cell_length_c 4.700
_cell_angle_alpha 90.00
_cell_angle_beta 90.00
_cell_angle_gamma 90.00
loop_
_atom_site_label
_atom_site_fract_x
_atom_site_fract_y
_atom_site_fract_z
Mn1 0.023 0.057 0.250
Mn2 0.023 0.443 0.250
Mn3 0.250 0.250 0.717
Mn4 0.477 0.057 0.250
Mn5 0.477 0.443 0.250
Mn6 0.523 0.557 0.750
Mn7 0.523 0.943 0.750
Mn8 0.750 0.750 0.283
Mn9 0.977 0.557 0.750
Mn10 0.977 0.943 0.750
Fe1 0.250 0.750 0.149
Fe2 0.750 0.250 0.851
N1 0.033 0.750 0.450
N2 0.250 0.002 0.959
N3 0.250 0.498 0.959
N4 0.467 0.750 0.450
N5 0.533 0.250 0.550
N6 0.750 0.502 0.041
N7 0.750 0.998 0.041
N8 0.967 0.250 0.550
```

Largest 10 diffraction maxima, in order of rising 2θ, 2θ from 15° to 90°:
hkl	2θ (°)	d_spacing	I (rel.)
2 1 1	37.75	2.383	100.0
0 0 2	38.30	2.350	51.5
2 2 0	40.24	2.241	74.8
0 3 1	45.35	2.000	93.0
2 0 2	48.96	1.860	27.1
2 2 2	56.76	1.622	72.7
4 0 0	60.92	1.521	21.7
4 0 2	74.25	1.277	18.6
4 3 1	79.11	1.211	24.0
2 5 1	81.86	1.177	28.2